Structure and simulated powder XRD pattern of KRbSb2Pb2 (a PBE-relaxed structure; a wavelength of 1.5418 Å).

The 8 most intense peaks (10° ≤ 2θ ≤ 90°), low angle first:
- d 4.933, rel. 24, (1 0 0)
- d 4.211, rel. 32, (1 0 1)
- d 3.126, rel. 72, (0 1 2)
- d 2.848, rel. 100, (1 1 0)
- d 2.328, rel. 23, (1 1 2)
- d 2.105, rel. 24, (2 0 2)
- d 1.957, rel. 39, (1 1 3)
- d 1.693, rel. 24, (1 2 2)

Atomic structure:
```
data_KRbSb2Pb2
_symmetry_space_group_name_H-M 'P 1'
_symmetry_Int_Tables_number 1
_cell_length_a 5.6961
_cell_length_b 5.6961
_cell_length_c 8.0834
_cell_angle_alpha 90.00
_cell_angle_beta 90.00
_cell_angle_gamma 120.00
loop_
_symmetry_equiv_pos_as_xyz
'x,y,z'
loop_
_atom_site_label
_atom_site_type_symbol
_atom_site_fract_x
_atom_site_fract_y
_atom_site_fract_z
_atom_site_occupancy
K1 K 0.0000 0.0000 0.0000 1
Rb1 Rb 0.0000 0.0000 0.5000 1
Sb1 Sb 0.3333 0.6667 0.7828 1
Sb2 Sb 0.6667 0.3333 0.2172 1
Pb1 Pb 0.3333 0.6667 0.1783 1
Pb2 Pb 0.6667 0.3333 0.8217 1
```